This entry pairs a crystal structure of YTi2S4 with its computed powder XRD pattern. Radiation: Cu Kα. Structure: DFT lattice parameters and positions (GGA-PBE).

Structure:
Unit cell a=7.670 b=7.670 c=7.670 alpha=121.90 beta=121.90 gamma=86.75
Positions (direct):
Y: 0.375 0.625 0.750
Y: 0.625 0.375 0.250
Ti: 0.000 0.000 0.000
Ti: 0.000 0.000 0.500
Ti: 0.000 0.500 0.000
Ti: 0.500 0.000 0.500
S: 0.209 0.229 0.981
S: 0.229 0.209 0.481
S: 0.229 0.748 0.019
S: 0.252 0.771 0.481
S: 0.748 0.229 0.519
S: 0.771 0.252 0.981
S: 0.771 0.791 0.519
S: 0.791 0.771 0.019

Most intense lines, 2θ from 10° to 80°, low angle first:
| two_theta | d [Å] | Rel. int. |
| --- | --- | --- |
| 23.2 | 3.829 | 57 |
| 23.9 | 3.725 | 25 |
| 26.8 | 3.326 | 38 |
| 28.0 | 3.192 | 100 |
| 34.0 | 2.634 | 20 |
| 41.6 | 2.170 | 20 |
| 42.3 | 2.136 | 31 |
| 44.6 | 2.031 | 43 |
| 47.5 | 1.914 | 73 |
| 48.9 | 1.862 | 37 |
| 66.6 | 1.404 | 14 |
| 77.0 | 1.239 | 13 |